[1]
Diffraction record for Ac7Ni2Pb2. The powder X-ray diffraction pattern is theoretical, not measured: it uses a cell relaxed with GGA-PBE and λ = 1.5418 Å (Cu Kα).
Lines closer than 0.1° are merged.

Peak list (6 most intense, 2θ = 10–90°, in order of rising 2θ)
hkl 2 2 0, 25.1 deg, rel. 74; hkl 1 1 2, 26.6 deg, rel. 59; hkl 0 2 2, 27.6 deg, rel. 40; hkl 0 4 0, 28.9 deg, rel. 78; hkl 1 3 2, 33.7 deg, rel. 43; hkl 2 2 2, 34.6 deg, rel. 100

Cell and atoms:
a = 8.643 Å, b = 12.366 Å, c = 7.597 Å
α = 90.00°, β = 90.00°, γ = 90.00°
Space group Cmmm (No. 65)
Unique sites:
Ac: 0.000 0.000 0.000
Ac: 0.000 0.500 0.228
Ac: 0.250 0.250 0.249
Ni: 0.000 0.288 0.000
Pb: 0.177 0.000 0.500



[2]
Diffraction record for Ac12Ni2Pb5. The powder X-ray diffraction pattern is theoretical, not measured: it uses a cell relaxed with GGA-PBE and λ = 1.5418 Å (Cu Kα).
Lines closer than 0.1° are merged.

Peak list (6 most intense, 2θ = 10–90°, in order of rising 2θ)
hkl 1 1 -2, 20.0 deg, rel. 39; hkl 2 2 -2, 27.9 deg, rel. 100; hkl 4 2 0, 29.2 deg, rel. 84; hkl 6 0 0, 29.3 deg, rel. 59; hkl 2 2 2, 31.2 deg, rel. 37; hkl 2 0 -4, 34.0 deg, rel. 43

Cell and atoms:
a = 18.970 Å, b = 8.231 Å, c = 10.560 Å
α = 90.00°, β = 105.72°, γ = 90.00°
Space group C2/m (No. 12)
Unique sites:
Ac: 0.001 0.000 0.248
Ac: 0.001 0.500 0.828
Ac: 0.150 0.256 0.578
Ac: 0.152 0.240 0.075
Ni: 0.000 0.163 0.000
Pb: 0.000 0.500 0.500
Pb: 0.195 0.000 0.836
Pb: 0.196 0.000 0.359